Starting from a DFT-relaxed cell (GGA-PBE, Alexandria), the powder X-ray diffraction pattern of ZnPdRhO4 was simulated for Cu Kα.
Lines closer than 0.1° are merged.

Cell and atoms:
Cell: 6.2289 6.2289 6.2289 Å, 122.23 120.86 87.35°
Fractional coordinates of all 14 atoms:
Zn  0.3871  0.1371  0.2500
Zn  0.6129  0.8629  0.7500
Pd  0.0000  0.0000  0.5000
Pd  0.0000  0.5000  0.0000
Rh  0.0000  0.5000  0.5000
Rh  0.5000  0.5000  0.0000
O  0.2087  0.7277  0.4810
O  0.2534  0.2723  0.9810
O  0.2569  0.2774  0.5205
O  0.2569  0.7364  0.9795
O  0.7431  0.2636  0.0205
O  0.7431  0.7226  0.4795
O  0.7466  0.7277  0.0190
O  0.7913  0.2723  0.5190

Top 10 peaks for 15° ≤ 2θ ≤ 90°, in order of rising 2θ:
- d 5.078, intensity 37
- d 5.004, intensity 53
- d 2.699, intensity 54
- d 2.687, intensity 55
- d 2.619, intensity 97
- d 2.589, intensity 100
- d 2.539, intensity 49
- d 2.502, intensity 36
- d 2.150, intensity 49
- d 1.555, intensity 89